Calculated X-ray powder pattern of BaU2V2O12 for Cu Kα X-rays, from DFT lattice parameters and positions (PBE+U).
Neutral-atom scattering factors, no anomalous dispersion.

Main lines, in order of falling intensity (2θ = 10–90°):
| 2theta | Rel. int. | h k l |
| --- | --- | --- |
| 12.98 | 100 | 1 0 0 |
| 25.05 | 54 | 1 2 0 |
| 28.48 | 48 | 1 1 -3 |
| 16.81 | 36 | 0 0 2 |
| 27.54 | 33 | 0 1 3 |
| 26.14 | 31 | 2 0 0 |
| 28.94 | 22 | 1 2 -2 |
| 45.47 | 18 | 3 2 0 |
| 46.89 | 18 | 2 3 -3 |
| 21.32 | 17 | 0 2 0 |
| 19.85 | 17 | 1 1 1 |
| 41.43 | 14 | 0 3 3 |

Structural model:
Cell: 6.932 8.334 10.720 Å, 90.00 100.41 90.00°
Positions (direct):
Ba 0.000 0.042 0.000
Ba 0.000 0.958 0.500
U 0.483 0.239 0.858
U 0.483 0.761 0.358
U 0.500 0.266 0.500
U 0.500 0.734 0.000
V 0.387 0.389 0.128
V 0.387 0.611 0.628
V 0.616 0.099 0.233
V 0.616 0.901 0.733
O 0.156 0.338 0.117
O 0.156 0.662 0.617
O 0.224 0.174 0.837
O 0.224 0.826 0.337
O 0.242 0.204 0.456
O 0.242 0.796 0.956
O 0.421 0.463 0.969
O 0.421 0.537 0.469
O 0.429 0.404 0.684
O 0.429 0.596 0.184
O 0.500 0.193 0.074
O 0.500 0.807 0.574
O 0.511 0.092 0.675
O 0.511 0.908 0.175
O 0.526 0.302 0.286
O 0.526 0.698 0.786
O 0.600 0.033 0.397
O 0.600 0.967 0.897
O 0.748 0.281 0.887
O 0.748 0.719 0.387
O 0.762 0.297 0.547
O 0.762 0.703 0.047
O 0.855 0.089 0.231
O 0.855 0.911 0.731